Structure and theoretical X-ray diffraction stick pattern of Cu5As2O12 (a cell relaxed with GGA-PBE; Cu Ka).

Peak list (10 most intense, 10° ≤ 2θ ≤ 80°, in order of rising 2θ)
d/Å, 2θ (°), I (rel.)
4.931, 17.99, 100
3.650, 24.39, 40
3.429, 25.98, 22
3.215, 27.75, 22
3.172, 28.14, 25
2.695, 33.24, 57
2.541, 35.32, 53
2.373, 37.92, 71
2.146, 42.10, 21
1.664, 55.20, 32

Structure:
```
data_Cu5As2O12
_symmetry_space_group_name_H-M 'P -1'
_symmetry_Int_Tables_number 2
_symmetry_space_group_name_Hall '-P 1'
_cell_length_a 6.121
_cell_length_b 6.142
_cell_length_c 7.080
_cell_angle_alpha 109.88
_cell_angle_beta 97.80
_cell_angle_gamma 106.75
loop_
_atom_site_label
_atom_site_type_symbol
_atom_site_fract_x
_atom_site_fract_y
_atom_site_fract_z
Cu1 Cu 0.000 0.000 0.000
Cu2 Cu 0.326 0.000 0.341
Cu3 Cu 0.330 0.505 0.320
As1 As 0.181 0.458 0.809
O1 O 0.004 0.609 0.737
O2 O 0.009 0.154 0.780
O3 O 0.305 0.177 0.175
O4 O 0.336 0.392 0.618
O5 O 0.342 0.637 0.056
O6 O 0.356 0.822 0.504
```